The following is a computed X-ray diffraction stick pattern of Sm3In2Ru. It was derived from a crystal structure in Alexandria, relaxed with PBE, using λ = 1.5418 Å (Cu Kα).
No peak broadening, texture or thermal motion is included.

Most intense lines, 2θ from 10° to 90°, low angle first:
2θ 28.85, intensity 22
2θ 29.41, intensity 30
2θ 31.44, intensity 100
2θ 32.20, intensity 22
2θ 33.71, intensity 28
2θ 34.75, intensity 47
2θ 37.85, intensity 19
2θ 38.78, intensity 47
2θ 41.09, intensity 20
2θ 43.33, intensity 14
2θ 51.25, intensity 16
2θ 65.65, intensity 14

Cell and atoms:
Cell: 12.9694 4.6438 10.8019 Å, 90.00 90.00 90.00°
Sites, in units of the cell vectors:
Sm 0.0562 0.2500 0.1019
Sm 0.1111 0.7500 0.5465
Sm 0.2350 0.7500 0.2663
Sm 0.2650 0.2500 0.7663
Sm 0.3889 0.2500 0.0465
Sm 0.4438 0.7500 0.6019
Sm 0.5562 0.2500 0.3981
Sm 0.6111 0.7500 0.9535
Sm 0.7350 0.7500 0.2337
Sm 0.7650 0.2500 0.7337
Sm 0.8889 0.2500 0.4535
Sm 0.9438 0.7500 0.8981
In 0.0164 0.2500 0.7196
In 0.1999 0.7500 0.9646
In 0.3001 0.2500 0.4646
In 0.4836 0.7500 0.2196
In 0.5164 0.2500 0.7804
In 0.6999 0.7500 0.5354
In 0.8001 0.2500 0.0354
In 0.9836 0.7500 0.2804
Ru 0.1070 0.2500 0.3539
Ru 0.3930 0.7500 0.8539
Ru 0.6070 0.2500 0.1461
Ru 0.8930 0.7500 0.6461